# 1
Starting from a crystal structure in Alexandria, relaxed with GGA-PBE, the powder diffraction line list of Ho5Er2Th3 was calculated for copper Kα.
Neutral-atom scattering factors, no anomalous dispersion.

Cell and atoms:
```
Ho5Er2Th3
1.0
5.5700 -2.5092 0.0000
5.5700 2.5092 0.0000
-0.1238 0.0000 11.2249
Ho Er Th
5 2 3
Cartesian
0.0000 0.0000 0.0000
2.1481 0.0000 6.7383
3.2332 0.0000 10.0951
7.7829 0.0000 1.1298
8.8680 0.0000 4.4866
4.4610 0.0000 2.2592
6.5551 0.0000 8.9657
1.0663 0.0000 3.3554
5.5081 0.0000 5.6125
9.9498 0.0000 7.8695
```

Peak list (10 most intense, 2θ from 10° to 80°, in order of rising 2θ)
2θ 30.94, I 100; 2θ 35.67, I 17; 2θ 35.79, I 17; 2θ 36.17, I 17; 2θ 51.42, I 12; 2θ 51.70, I 12; 2θ 61.15, I 15; 2θ 61.30, I 15; 2θ 61.81, I 14; 2θ 64.47, I 13

# 2
Starting from a crystal structure in Alexandria, relaxed with GGA-PBE, the powder diffraction line list of CdFe2S was calculated for copper Kα.
Neutral-atom scattering factors, no anomalous dispersion.

Cell and atoms:
```
CdFe2S
1.0
6.5694 0.0000 0.0000
0.0000 6.5694 0.0000
0.0000 0.0000 5.5858
Cd Fe S
4 8 4
Cartesian
0.0000 0.0000 0.0000
0.0000 3.2847 1.3965
3.2847 0.0000 4.1894
3.2847 3.2847 2.7929
1.0688 1.6423 3.4911
1.6423 4.3535 4.8876
1.6423 5.5006 2.0947
2.2159 1.6423 0.6982
4.3535 4.9270 0.6982
4.9270 1.0688 2.0947
4.9270 2.2159 4.8876
5.5006 4.9270 3.4911
0.0000 0.0000 2.7929
0.0000 3.2847 4.1894
3.2847 0.0000 1.3965
3.2847 3.2847 0.0000
```

Peak list (10 most intense, 2θ from 10° to 80°, in order of rising 2θ)
2θ 27.15, I 14; 2θ 34.49, I 85; 2θ 37.58, I 100; 2θ 38.77, I 58; 2θ 44.44, I 26; 2θ 55.10, I 46; 2θ 55.99, I 14; 2θ 63.31, I 15; 2θ 72.60, I 13; 2θ 73.72, I 21

# 3
Starting from a crystal structure in Alexandria, relaxed with GGA-PBE, the powder diffraction line list of Nd2SmDy5Sc was calculated for copper Kα.
Neutral-atom scattering factors, no anomalous dispersion.

Cell and atoms:
```
Nd2SmDy5Sc
1.0
2.7968 -9.9244 0.0000
2.7968 9.9244 0.0000
0.0000 0.0000 10.4548
Nd Sm Dy Sc
4 2 10 2
Cartesian
2.7968 7.6838 5.2274
2.7968 7.6431 9.6147
2.7968 -7.6431 4.3873
2.7968 -7.6838 0.0000
2.7968 1.7623 6.7300
2.7968 -1.7623 1.5026
2.7968 9.5873 2.1296
2.7968 4.4390 5.3049
2.7968 4.0239 9.2907
2.7968 2.4867 2.1365
2.7968 0.3485 9.6768
2.7968 -0.3485 4.4494
2.7968 -2.4867 7.3639
2.7968 -4.0239 4.0633
2.7968 -4.4390 0.0775
2.7968 -9.5873 7.3570
2.7968 6.0273 2.0887
2.7968 -6.0273 7.3161
```

Peak list (10 most intense, 2θ from 10° to 80°, in order of rising 2θ)
2θ 26.96, I 24; 2θ 28.30, I 17; 2θ 30.56, I 39; 2θ 32.00, I 49; 2θ 32.53, I 100; 2θ 34.31, I 12; 2θ 51.72, I 14; 2θ 57.37, I 20; 2θ 60.05, I 14; 2θ 62.12, I 16

Number 3 is which compound?
Nd2SmDy5Sc